Entry 1:
Starting from a DFT-relaxed cell (GGA-PBE, OQMD), the XRD peak list of Cd12Au5 was calculated for Cu Kα X-rays.
Lines closer than 0.1° are merged.

Principal peaks in the range 2θ from 10° to 90°, by angle:
two_theta	I_rel
23.41	337
31.22	136
37.34	611
39.36	1000
44.54	250
68.69	250
72.36	125
72.67	165

```
Cd12Au5
1.0
-5.3854 5.3854 3.0922
5.3854 -5.3854 3.0922
5.3854 5.3854 -3.0922
Cd Au
12 5
direct
0.0667 0.3620 0.9189
0.0681 0.6421 0.7101
0.1478 0.0667 0.7047
0.3579 0.0681 0.4260
0.3620 0.4431 0.2953
0.4431 0.1478 0.0811
0.5569 0.8522 0.9189
0.6380 0.5569 0.7047
0.6421 0.9319 0.5740
0.8522 0.9333 0.2953
0.9319 0.3579 0.2899
0.9333 0.6380 0.0811
0.0000 0.0000 0.0000
0.1898 0.4067 0.5966
0.4067 0.8102 0.2169
0.5933 0.1898 0.7831
0.8102 0.5933 0.4034
```

Entry 2:
Starting from a DFT-relaxed cell (GGA-PBE, OQMD), the XRD peak list of CdAu9 was calculated for Cu Kα X-rays.
Lines closer than 0.1° are merged.

Principal peaks in the range 2θ from 10° to 90°, by angle:
two_theta	I_rel
37.11	1000
38.08	416
43.58	455
62.27	138
63.33	162
63.58	175
75.59	138
75.74	260

```
CdAu9
1.0
2.9373 0.0000 0.0000
0.0000 2.9373 0.0000
0.0000 0.0000 55.6843
Cd Au
2 18
direct
0.2500 0.2500 0.1396
0.7500 0.7500 0.8604
0.2500 0.2500 0.2180
0.2500 0.2500 0.2937
0.2500 0.2500 0.3690
0.2500 0.2500 0.4440
0.2500 0.2500 0.5186
0.2500 0.2500 0.5935
0.2500 0.2500 0.6686
0.2500 0.2500 0.7439
0.2500 0.2500 0.8203
0.7500 0.7500 0.1797
0.7500 0.7500 0.2561
0.7500 0.7500 0.3314
0.7500 0.7500 0.4065
0.7500 0.7500 0.4814
0.7500 0.7500 0.5560
0.7500 0.7500 0.6310
0.7500 0.7500 0.7063
0.7500 0.7500 0.7820
```